# Na5LiFe2P2C2O14
Simulated PXRD pattern, Cu Ka. Input: a crystal structure in Alexandria, relaxed with GGA+U.
Neutral-atom scattering factors, no anomalous dispersion.

The 6 most intense peaks (5° ≤ 2θ ≤ 70°), by angle:
Position (°2θ)  Rel. int.
9.97  80
26.80  100
33.38  40
33.65  73
34.35  66
49.36  41

Crystal structure
```
Na5LiFe2P2C2O14
1.0
8.8749 0.0000 0.0000
0.0000 6.6540 0.0000
-0.2235 0.0000 10.4422
Na Li Fe P C O
10 2 4 4 4 28
Cartesian
0.7037 0.0000 1.2492
0.6013 0.0989 6.4557
2.2660 1.6734 3.9521
2.2666 5.0656 3.9298
2.1648 5.0066 9.1093
6.4866 1.6796 1.3329
6.3848 1.7386 6.5124
6.3854 5.0004 6.4902
8.0501 3.4259 3.9865
7.9477 3.3270 9.1930
2.4295 1.4224 9.2766
6.2219 4.7494 1.1656
3.0402 3.2936 1.1410
2.9530 3.3713 6.3575
5.6984 0.0443 4.0847
5.6112 6.6206 9.3013
3.5328 0.0663 6.7490
3.6920 6.6066 1.5323
4.9594 3.2796 8.9100
5.1186 3.3933 3.6933
0.3821 3.4111 1.4351
0.4099 3.3791 6.6635
8.2415 0.0521 3.7787
8.2693 0.0842 9.0072
0.6549 0.0300 3.6888
0.6829 0.2077 8.9315
0.9910 3.3974 0.2839
0.9943 3.3685 5.4919
1.1116 3.2899 2.5154
1.1633 3.4051 7.7196
2.7933 5.3775 1.1890
2.6896 5.4684 6.3640
2.6917 1.2968 6.3049
2.8933 1.1895 0.9951
3.5627 3.1654 9.5688
3.7322 3.3786 4.3757
3.7167 0.1058 8.3105
3.8595 0.0629 3.0761
4.7919 3.3899 7.3662
4.9347 3.4328 2.1318
4.9192 0.0516 6.0666
5.0887 6.4924 0.8735
5.7581 4.5165 9.4472
5.9597 4.6238 4.1373
5.8581 2.0505 9.2533
5.9618 2.1414 4.0782
7.4881 0.0781 2.7226
7.5398 6.6168 7.9269
7.6571 0.0415 4.9504
7.6604 0.0704 10.1583
7.9685 3.5347 1.5107
7.9965 3.3570 6.7534
```